The following is a theoretical powder XRD pattern of MgOsPt. It was derived from a DFT-relaxed cell (PBE, Alexandria), using Cu Kα X-rays.

Most intense lines, 2θ = 15–90°, low angle first:
2θ (°), I_rel
33.30, 22.6
39.43, 100.0
44.38, 17.4
46.57, 31.6
49.02, 11.5
49.79, 14.9
66.29, 21.4
67.97, 10.3
78.36, 12.7
81.52, 25.0
84.85, 11.1
88.82, 6.2

Structure:
Cell lengths 6.426, 6.426, 6.426 Å; angles 155.21, 155.21, 35.34 degrees
Fractional coordinates of all 3 atoms:
Mg 0.000 0.000 0.000
Os 0.673 0.673 0.000
Pt 0.329 0.329 0.000

The following is a theoretical powder XRD pattern of PmGeIr3. It was derived from a DFT-relaxed cell (PBE, Alexandria), using Cu Kα X-rays.

Most intense lines, 2θ = 15–90°, low angle first:
2θ (°), I_rel
19.98, 47.5
28.44, 25.2
31.04, 28.1
36.35, 38.9
37.04, 51.0
38.65, 50.6
40.66, 100.0
42.11, 57.0
45.72, 47.2
48.08, 20.2
72.09, 21.6
72.59, 19.9

Structure:
Cell lengths 6.446, 6.446, 6.446 Å; angles 129.77, 108.09, 92.86 degrees
Fractional coordinates of all 10 atoms:
Pm 0.260 0.010 0.250
Pm 0.740 0.990 0.750
Ge 0.000 0.500 0.500
Ge 0.500 0.500 0.000
Ir 0.066 0.316 0.750
Ir 0.295 0.000 0.795
Ir 0.295 0.500 0.295
Ir 0.705 0.000 0.205
Ir 0.705 0.500 0.705
Ir 0.934 0.684 0.250

The following is a theoretical powder XRD pattern of HgRhPb. It was derived from a DFT-relaxed cell (PBE, Alexandria), using Cu Kα X-rays.

Most intense lines, 2θ = 15–90°, low angle first:
2θ (°), I_rel
30.44, 33.3
33.65, 51.0
33.76, 51.1
33.98, 100.0
38.37, 21.1
41.20, 36.0
42.81, 26.4
43.41, 25.4
56.33, 24.4
59.05, 23.4
60.01, 24.3
67.80, 20.1

Structure:
Cell lengths 5.528, 5.528, 5.872 Å; angles 121.91, 121.91, 73.06 degrees
Fractional coordinates of all 6 atoms:
Hg 0.172 0.828 0.500
Hg 0.828 0.172 0.000
Rh 0.674 0.675 0.925
Rh 0.675 0.674 0.425
Pb 0.172 0.514 0.844
Pb 0.514 0.172 0.344

The following is a theoretical powder XRD pattern of Pm2Ho3Cd3. It was derived from a DFT-relaxed cell (PBE, Alexandria), using Cu Kα X-rays.

Most intense lines, 2θ = 15–90°, low angle first:
2θ (°), I_rel
25.99, 5.1
31.98, 22.1
33.23, 100.0
33.64, 26.0
47.10, 15.0
48.30, 9.4
57.80, 10.9
59.11, 7.5
59.89, 18.1
60.15, 9.6
69.76, 9.1
80.39, 7.8

Structure:
Cell lengths 11.660, 11.660, 11.660 Å; angles 161.40, 153.58, 32.51 degrees
Fractional coordinates of all 8 atoms:
Pm 0.232 0.232 0.000
Pm 0.768 0.768 0.000
Ho 0.000 0.000 0.000
Ho 0.379 0.879 0.500
Ho 0.621 0.121 0.500
Cd 0.114 0.614 0.500
Cd 0.500 0.500 0.000
Cd 0.886 0.386 0.500

The following is a theoretical powder XRD pattern of Rb2IrO4. It was derived from a DFT-relaxed cell (PBE, Alexandria), using Cu Kα X-rays.

Most intense lines, 2θ = 15–90°, low angle first:
2θ (°), I_rel
23.01, 20.7
29.04, 100.0
31.53, 49.1
37.58, 16.9
38.55, 10.8
45.19, 24.7
49.85, 21.7
54.62, 35.1
60.19, 16.3
62.66, 10.7
80.56, 10.6
86.89, 9.3

Structure:
Cell lengths 7.720, 7.720, 7.720 Å; angles 149.87, 149.87, 43.13 degrees
Fractional coordinates of all 7 atoms:
Rb 0.153 0.153 0.000
Rb 0.847 0.847 0.000
Ir 0.500 0.500 0.000
O 0.000 0.500 0.500
O 0.367 0.367 0.000
O 0.500 0.000 0.500
O 0.633 0.633 0.000

The following is a theoretical powder XRD pattern of TbNi3B3. It was derived from a DFT-relaxed cell (PBE, Alexandria), using Cu Kα X-rays.

Most intense lines, 2θ = 15–90°, low angle first:
2θ (°), I_rel
15.97, 35.2
23.33, 39.8
24.25, 69.6
30.66, 58.7
36.32, 26.2
37.56, 60.1
38.31, 99.3
38.53, 40.7
39.73, 31.9
40.17, 100.0
51.40, 28.1
58.49, 24.1

Structure:
Cell lengths 7.373, 3.156, 7.659 Å; angles 90.00, 95.29, 90.00 degrees
Fractional coordinates of all 14 atoms:
Tb 0.231 0.250 0.270
Tb 0.769 0.750 0.730
Ni 0.104 0.250 0.691
Ni 0.193 0.750 0.928
Ni 0.339 0.750 0.625
Ni 0.661 0.250 0.375
Ni 0.807 0.250 0.072
Ni 0.896 0.750 0.309
B 0.027 0.250 0.940
B 0.065 0.750 0.525
B 0.484 0.250 0.552
B 0.516 0.750 0.448
B 0.935 0.250 0.475
B 0.973 0.750 0.060

The following is a theoretical powder XRD pattern of PmMnFeSb. It was derived from a DFT-relaxed cell (PBE, Alexandria), using Cu Kα X-rays.

Most intense lines, 2θ = 15–90°, low angle first:
2θ (°), I_rel
23.06, 1.1
26.69, 19.9
38.11, 100.0
45.02, 0.6
47.14, 6.0
54.99, 16.7
62.15, 8.2
68.87, 33.2
81.53, 10.4
87.66, 4.4

Structure:
Cell lengths 4.723, 4.723, 4.723 Å; angles 60.00, 60.00, 60.00 degrees
Fractional coordinates of all 4 atoms:
Pm 0.000 0.000 0.000
Mn 0.750 0.750 0.750
Fe 0.250 0.250 0.250
Sb 0.500 0.500 0.500

The following is a theoretical powder XRD pattern of V12ReGe3. It was derived from a DFT-relaxed cell (PBE, Alexandria), using Cu Kα X-rays.

Most intense lines, 2θ = 15–90°, low angle first:
2θ (°), I_rel
18.60, 8.6
20.82, 9.2
26.42, 26.7
28.05, 4.9
37.70, 46.7
42.36, 60.4
46.63, 100.0
54.38, 4.2
61.45, 6.0
71.26, 11.1
74.39, 47.4
80.50, 8.2

Structure:
Cell lengths 4.769, 4.771, 9.549 Å; angles 90.00, 90.00, 90.00 degrees
Fractional coordinates of all 16 atoms:
V 0.000 0.000 0.122
V 0.000 0.000 0.372
V 0.000 0.000 0.628
V 0.000 0.000 0.878
V 0.246 0.500 0.249
V 0.246 0.500 0.751
V 0.500 0.247 0.500
V 0.500 0.251 0.000
V 0.500 0.749 0.000
V 0.500 0.753 0.500
V 0.754 0.500 0.249
V 0.754 0.500 0.751
Re 0.000 0.500 0.000
Ge 0.000 0.500 0.500
Ge 0.500 0.000 0.251
Ge 0.500 0.000 0.749